Computed PXRD pattern of MgCr2O4 for Cu Ka, from a crystal structure in the Materials Project, relaxed with GGA+U.

Most intense lines, 15 to 90 degrees two-theta, by angle:
2θ 17.92, d = 4.950 Å, I 61
2θ 29.60, d = 3.018 Å, I 55
2θ 34.81, d = 2.577 Å, I 56
2θ 35.03, d = 2.561 Å, I 96
2θ 35.15, d = 2.553 Å, I 100
2θ 42.54, d = 2.125 Å, I 85
2θ 56.02, d = 1.642 Å, I 30
2θ 56.24, d = 1.636 Å, I 35
2θ 61.44, d = 1.509 Å, I 64
2θ 62.01, d = 1.497 Å, I 65

Atomic structure:
```
MgCr2O4
1.0
2.993 1.728 4.950
-2.993 1.728 4.950
0.000 -3.456 4.950
Mg Cr O
2 4 8
Cartesian
0.000 0.000 0.000
0.000 0.000 5.586
-1.516 -0.875 12.327
0.000 0.000 9.171
1.516 -0.875 12.327
0.000 1.750 12.327
-1.576 -0.910 8.542
0.000 0.000 3.533
0.000 -1.860 6.256
-1.611 0.930 6.256
1.576 -0.910 8.542
0.000 1.820 8.542
0.000 0.000 11.257
1.611 0.930 6.256
```